The following is a calculated powder XRD pattern of Ac2YAg3Hg12. It was derived from DFT lattice parameters and positions (PBE), using Cu Kα, 1.54184 Å.
Lines closer than 0.1° are merged.

Most intense lines, 15 to 90 degrees two-theta, by intensity:
- 31.3°, I = 100
- 36.5°, I = 96
- 23.1°, I = 96
- 36.2°, I = 60
- 30.0°, I = 58
- 38.8°, I = 56
- 29.4°, I = 54
- 40.1°, I = 52
- 35.7°, I = 41
- 59.9°, I = 36
- 66.1°, I = 36
- 40.7°, I = 25

Atomic structure:
```
Ac2YAg3Hg12
1.0
4.4982 2.5971 7.6995
-4.4982 2.5971 7.6995
0.0000 -5.1941 7.6995
Ac Y Ag Hg
2 1 3 12
Direct
0.0922 0.0922 0.0922 Ac
0.9078 0.9078 0.9078 Ac
0.5000 0.5000 0.5000 Y
0.0000 0.5000 0.5000 Ag
0.5000 0.0000 0.5000 Ag
0.5000 0.5000 0.0000 Ag
0.0358 0.6707 0.6707 Hg
0.2640 0.2640 0.6604 Hg
0.2640 0.6604 0.2640 Hg
0.3293 0.3293 0.9642 Hg
0.3293 0.9642 0.3293 Hg
0.3396 0.7360 0.7360 Hg
0.6604 0.2640 0.2640 Hg
0.6707 0.0358 0.6707 Hg
0.6707 0.6707 0.0358 Hg
0.7360 0.3396 0.7360 Hg
0.7360 0.7360 0.3396 Hg
0.9642 0.3293 0.3293 Hg
```